No. 1
Diffraction record for Er3TmIr4. The powder XRD pattern is calculated, not measured: it uses the PBE geometry in Alexandria and CuKα.
Lines closer than 0.1° are merged.

Cell and atoms:
```
Er3TmIr4
1.0
3.5530 0.0000 0.0000
0.0000 4.6822 0.0000
0.0000 0.0000 9.3644
Er Tm Ir
3 1 4
Cartesian
0.0000 0.0000 0.0000
0.0000 2.3411 2.3456
0.0000 2.3411 7.0189
0.0000 0.0000 4.6822
1.7765 0.0000 2.3492
1.7765 0.0000 7.0152
1.7765 2.3411 0.0000
1.7765 2.3411 4.6822
```

Main lines, low angle first (2θ = 10–90°):
| 2θ (°) | intensity |
| --- | --- |
| 37.12 | 100 |
| 38.45 | 45 |
| 55.51 | 16 |
| 66.02 | 19 |
| 68.67 | 34 |
| 79.07 | 11 |

No. 2
Diffraction record for Y3ErIr8. The powder XRD pattern is calculated, not measured: it uses the PBE geometry in Alexandria and CuKα.
Lines closer than 0.1° are merged.

Cell and atoms:
```
Y3ErIr8
1.0
2.6808 1.5478 8.7462
-2.6808 1.5478 8.7462
0.0000 -3.0955 8.7462
Y Er Ir
3 1 8
Cartesian
0.0000 0.0000 0.0000
0.0000 0.0000 3.2821
0.0000 0.0000 16.3910
0.0000 0.0000 13.1148
0.0000 -1.5469 6.0039
-1.3397 0.7734 6.0039
-1.3389 -0.7730 10.3904
0.0000 0.0000 8.1972
1.3397 0.7734 6.0039
1.3389 -0.7730 10.3904
0.0000 1.5460 10.3904
0.0000 0.0000 21.3176
```

Main lines, low angle first (2θ = 10–90°):
| 2θ (°) | intensity |
| --- | --- |
| 20.29 | 31 |
| 39.43 | 100 |
| 41.26 | 59 |
| 63.81 | 33 |
| 70.25 | 31 |
| 84.85 | 23 |

No. 3
Diffraction record for Y3ErIr. The powder XRD pattern is calculated, not measured: it uses the PBE geometry in Alexandria and CuKα.
Lines closer than 0.1° are merged.

Cell and atoms:
```
Y3ErIr
1.0
7.6550 0.0000 0.0000
0.0000 6.5176 0.0000
0.0000 0.0000 6.1672
Y Er Ir
6 2 2
Cartesian
0.0000 1.0063 0.0000
1.9147 2.0293 3.0978
1.9128 4.4884 0.0142
3.8275 5.5113 3.0836
5.7403 2.0293 3.0978
5.7422 4.4884 0.0142
0.0000 5.5122 3.1128
3.8275 1.0055 0.0292
0.0000 3.2783 1.5700
3.8275 3.2394 4.6537
```

Main lines, low angle first (2θ = 10–90°):
| 2θ (°) | intensity |
| --- | --- |
| 18.47 | 47 |
| 23.00 | 54 |
| 30.72 | 100 |
| 31.04 | 45 |
| 40.01 | 55 |
| 48.16 | 36 |

No. 4
Diffraction record for YEr3Ir3. The powder XRD pattern is calculated, not measured: it uses the PBE geometry in Alexandria and CuKα.
Lines closer than 0.1° are merged.

Cell and atoms:
```
YEr3Ir3
1.0
4.8190 2.7822 1.9487
-4.8190 2.7822 1.9487
0.0000 -5.5644 1.9487
Y Er Ir
1 3 3
Cartesian
0.0000 0.0000 0.0000
-2.4095 -1.3911 1.9487
-2.4095 1.3911 3.8974
0.0000 2.7822 1.9487
-4.8189 0.0000 2.9230
-2.4095 1.3911 0.9743
2.4095 1.3911 0.9743
```

Main lines, low angle first (2θ = 10–90°):
| 2θ (°) | intensity |
| --- | --- |
| 18.41 | 30 |
| 37.32 | 100 |
| 37.57 | 98 |
| 53.99 | 35 |
| 67.31 | 18 |
| 67.47 | 36 |

No. 5
Diffraction record for Er3Zn2Ir. The powder XRD pattern is calculated, not measured: it uses the PBE geometry in Alexandria and CuKα.
Lines closer than 0.1° are merged.

Cell and atoms:
```
Er3Zn2Ir
1.0
4.9016 0.0000 0.0000
-2.4508 4.2449 0.0000
0.0000 0.0000 6.0617
Er Zn Ir
3 2 1
Cartesian
0.0000 0.0000 0.0000
0.0000 2.8299 3.9634
2.4508 1.4150 2.0983
0.0000 2.8299 0.8980
2.4508 1.4150 5.1637
0.0000 0.0000 3.0309
```

Main lines, low angle first (2θ = 10–90°):
| 2θ (°) | intensity |
| --- | --- |
| 36.42 | 100 |
| 36.67 | 100 |
| 52.65 | 35 |
| 65.39 | 19 |
| 65.87 | 35 |
| 66.03 | 18 |

No. 6
Diffraction record for Er3Zn2Ir. The powder XRD pattern is calculated, not measured: it uses the PBE geometry in Alexandria and CuKα.
Lines closer than 0.1° are merged.

Cell and atoms:
```
Er3Zn2Ir
1.0
3.5012 0.0000 0.0000
0.0000 3.5012 0.0000
0.0000 0.0000 10.4454
Er Zn Ir
3 2 1
Cartesian
0.0000 0.0000 0.0000
0.0000 0.0000 3.6221
0.0000 0.0000 6.8234
1.7506 1.7506 1.7524
1.7506 1.7506 8.6930
1.7506 1.7506 5.2227
```

Main lines, low angle first (2θ = 10–90°):
| 2θ (°) | intensity |
| --- | --- |
| 36.29 | 52 |
| 36.39 | 100 |
| 52.26 | 18 |
| 65.35 | 36 |
| 65.55 | 17 |
| 88.29 | 17 |

No. 7
Diffraction record for Er4ZnIr4. The powder XRD pattern is calculated, not measured: it uses the PBE geometry in Alexandria and CuKα.
Lines closer than 0.1° are merged.

Cell and atoms:
```
Er4ZnIr4
1.0
8.4673 0.0000 0.0000
0.0000 8.4673 0.0000
0.0000 0.0000 5.5309
Er Zn Ir
8 2 8
Cartesian
0.4787 6.9468 0.6383
1.5205 4.7124 3.4037
2.7132 7.9886 3.4037
3.7549 5.7542 0.6383
4.7124 2.7132 4.8926
5.7542 0.4787 2.1272
6.9468 3.7549 2.1272
7.9886 1.5205 4.8926
2.1168 2.1168 1.3827
6.3505 6.3505 4.1482
8.4667 1.1189 2.1247
0.0006 7.3484 3.4062
1.1189 4.2343 0.6408
3.1147 8.4667 0.6408
4.2343 3.1147 2.1247
4.2331 5.3526 3.4062
5.3526 0.0006 4.8902
7.3484 4.2331 4.8902
```

Main lines, low angle first (2θ = 10–90°):
| 2θ (°) | intensity |
| --- | --- |
| 33.47 | 100 |
| 34.10 | 54 |
| 40.39 | 58 |
| 45.92 | 18 |
| 48.05 | 20 |
| 51.02 | 36 |

No. 8
Diffraction record for Er4ZrIr5. The powder XRD pattern is calculated, not measured: it uses the PBE geometry in Alexandria and CuKα.
Lines closer than 0.1° are merged.

Cell and atoms:
```
Er4ZrIr5
1.0
3.3309 0.0000 0.0000
0.0000 3.3309 0.0000
0.0000 0.0000 17.4299
Er Zr Ir
4 1 5
Cartesian
0.0000 0.0000 1.7630
0.0000 0.0000 5.2807
0.0000 0.0000 12.1492
0.0000 0.0000 15.6669
0.0000 0.0000 8.7150
1.6655 1.6655 0.0000
1.6655 1.6655 3.5470
1.6655 1.6655 7.1422
1.6655 1.6655 10.2877
1.6655 1.6655 13.8829
```

Main lines, low angle first (2θ = 10–90°):
| 2θ (°) | intensity |
| --- | --- |
| 37.34 | 100 |
| 38.21 | 48 |
| 55.15 | 17 |
| 66.77 | 17 |
| 68.50 | 34 |
| 79.62 | 11 |

No. 9
Diffraction record for KEr4. The powder XRD pattern is calculated, not measured: it uses the PBE geometry in Alexandria and CuKα.
Lines closer than 0.1° are merged.

Cell and atoms:
```
KEr4
1.0
5.4665 0.0000 0.0000
0.0000 5.4665 0.0000
0.0000 0.0000 5.4665
K Er
1 4
Cartesian
0.0000 0.0000 0.0000
0.0000 0.0000 2.7333
0.0000 2.7333 0.0000
2.7333 0.0000 0.0000
2.7333 2.7333 2.7333
```

Main lines, low angle first (2θ = 10–90°):
| 2θ (°) | intensity |
| --- | --- |
| 28.28 | 100 |
| 32.77 | 66 |
| 47.02 | 48 |
| 55.77 | 46 |
| 75.86 | 19 |
| 78.20 | 22 |

No. 10
Diffraction record for K3Er2MnTe6. The powder XRD pattern is calculated, not measured: it uses the PBE geometry in Alexandria and CuKα.
Lines closer than 0.1° are merged.

Cell and atoms:
```
K3Er2MnTe6
1.0
3.7955 -6.5784 0.0000
3.7955 6.5784 0.0000
-2.5446 0.0000 8.2177
K Er Mn Te
3 2 1 6
Cartesian
0.0000 0.0000 0.0000
3.7955 2.2519 0.0000
3.7955 -2.2519 0.0000
2.5232 4.3958 4.1089
2.5232 -4.3958 4.1089
2.5232 0.0000 4.1089
1.3306 2.0750 2.4759
0.1296 0.0000 5.7569
1.3306 -2.0750 2.4759
3.7157 2.0750 5.7418
4.9167 0.0000 2.4608
3.7157 -2.0750 5.7418
```

Main lines, low angle first (2θ = 10–90°):
| 2θ (°) | intensity |
| --- | --- |
| 10.77 | 50 |
| 27.59 | 100 |
| 34.74 | 23 |
| 37.59 | 31 |
| 41.18 | 36 |
| 50.29 | 18 |

Number 4 is which compound? YEr3Ir3